# 1
For TaPd4, a structure optimized by DFT (PBE) gives the computed powder diffraction line list in this record (Cu Ka).
No peak broadening, texture or thermal motion is included.

Structure:
```
data_TaPd4
_chemical_formula_sum 'Ta2 Pd8'
_cell_length_a 7.6643
_cell_length_b 5.2199
_cell_length_c 4.5310
_cell_angle_alpha 90.00
_cell_angle_beta 110.14
_cell_angle_gamma 90.00
_space_group_name_H-M_alt 'C 1 2/m 1'
_space_group_IT_number 12
_space_group_name_Hall '-C 2y'
loop_
_atom_site_label
_atom_site_type_symbol
_atom_site_fract_x
_atom_site_fract_y
_atom_site_fract_z
_atom_site_occupancy
Ta1 Ta 0.0000 0.0000 0.0000 1
Pd1 Pd 0.0000 0.2574 0.5000 1
Pd2 Pd 0.1859 0.5000 0.1088 1
```

The 8 most intense peaks (5 to 70 degrees two-theta), by angle:
Position (°2θ), I_rel, index
24.7, 35, 2 0 0
32.8, 35, 1 1 1
40.2, 51, 3 1 -1
40.6, 100, 0 2 1
41.2, 41, 2 0 -2
41.4, 41, 3 1 0
42.5, 27, 0 0 2
43.8, 36, 2 2 -1

# 2
For Ta5Pd2, a structure optimized by DFT (PBE) gives the computed powder diffraction line list in this record (Cu Ka).
No peak broadening, texture or thermal motion is included.

Structure:
```
data_Ta5Pd2
_chemical_formula_sum 'Ta10 Pd4'
_cell_length_a 3.3014
_cell_length_b 3.3014
_cell_length_c 22.3359
_cell_angle_alpha 90.00
_cell_angle_beta 90.00
_cell_angle_gamma 90.00
_space_group_name_H-M_alt 'I 4/m m m'
_space_group_IT_number 139
_space_group_name_Hall '-I 4 2'
loop_
_atom_site_label
_atom_site_type_symbol
_atom_site_fract_x
_atom_site_fract_y
_atom_site_fract_z
_atom_site_occupancy
Ta1 Ta 0.0000 0.0000 0.0000 1
Ta2 Ta 0.0000 0.0000 0.1499 1
Ta3 Ta 0.0000 0.0000 0.4257 1
Pd1 Pd 0.0000 0.0000 0.2867 1
```

The 8 most intense peaks (5 to 70 degrees two-theta), by angle:
Position (°2θ), I_rel, index
7.9, 6, 0 0 2
33.8, 6, 1 0 5
38.6, 55, 1 1 0
39.3, 100, 1 0 7
55.7, 19, 2 0 0
57.8, 7, 0 0 14
64.0, 3, 1 1 12
66.7, 2, 2 1 5

# 3
For Ta5Pd, a structure optimized by DFT (PBE) gives the computed powder diffraction line list in this record (Cu Ka).
No peak broadening, texture or thermal motion is included.

Structure:
```
data_Ta5Pd
_chemical_formula_sum 'Ta10 Pd2'
_cell_length_a 4.6685
_cell_length_b 13.5713
_cell_length_c 3.3464
_cell_angle_alpha 90.00
_cell_angle_beta 90.00
_cell_angle_gamma 90.00
_space_group_name_H-M_alt 'C m m m'
_space_group_IT_number 65
_space_group_name_Hall '-C 2 2'
loop_
_atom_site_label
_atom_site_type_symbol
_atom_site_fract_x
_atom_site_fract_y
_atom_site_fract_z
_atom_site_occupancy
Ta1 Ta 0.0000 0.0000 0.0000 1
Ta2 Ta 0.0000 0.1647 0.5000 1
Ta3 Ta 0.0000 0.3323 0.0000 1
Pd1 Pd 0.0000 0.5000 0.5000 1
```

The 8 most intense peaks (5 to 70 degrees two-theta), by angle:
Position (°2θ), I_rel, index
20.1, 1, 1 1 0
38.6, 100, 2 0 0
39.9, 18, 0 6 0
54.9, 7, 0 0 2
56.7, 13, 2 6 0
69.1, 7, 2 0 2
69.8, 14, 3 3 1
69.9, 7, 0 6 2

# 4
For Ta2Pd5, a structure optimized by DFT (PBE) gives the computed powder diffraction line list in this record (Cu Ka).
No peak broadening, texture or thermal motion is included.

Structure:
```
data_Ta2Pd5
_chemical_formula_sum 'Ta4 Pd10'
_cell_length_a 9.1561
_cell_length_b 9.1561
_cell_length_c 2.8316
_cell_angle_alpha 90.00
_cell_angle_beta 90.00
_cell_angle_gamma 90.00
_space_group_name_H-M_alt 'P 4/m b m'
_space_group_IT_number 127
_space_group_name_Hall '-P 4 2ab'
loop_
_atom_site_label
_atom_site_type_symbol
_atom_site_fract_x
_atom_site_fract_y
_atom_site_fract_z
_atom_site_occupancy
Ta1 Ta 0.1832 0.3168 0.0000 1
Pd1 Pd 0.0000 0.5000 0.5000 1
Pd2 Pd 0.0605 0.7942 0.5000 1
```

The 8 most intense peaks (5 to 70 degrees two-theta), by angle:
Position (°2θ), I_rel, index
21.7, 27, 2 1 0
37.3, 35, 2 0 1
38.7, 74, 2 1 1
40.6, 100, 4 1 0
41.9, 40, 3 3 0
42.4, 24, 2 2 1
44.8, 57, 3 1 1
48.1, 27, 3 2 1